For Pr4SmIn3, a crystal structure in Alexandria, relaxed with PBE gives the calculated X-ray diffraction stick pattern in this record (Cu Kα (weighted mean of Kα1 and Kα2)).
Peak positions follow from Bragg's law for the DFT cell and can differ from measured ones.

```
data_Pr4SmIn3
_space_group_name_H-M_alt 'R -3 m'
_space_group_IT_number 166
_space_group_name_Hall '-R 3 2"'
_cell_length_a 5.5577
_cell_length_b 5.5577
_cell_length_c 27.8860
_cell_angle_alpha 90.00
_cell_angle_beta 90.00
_cell_angle_gamma 120.00
loop_
_atom_site_label
_atom_site_fract_x
_atom_site_fract_y
_atom_site_fract_z
Pr1 0.0000 0.0000 0.1160
Pr2 0.0000 0.0000 0.3687
Sm1 0.0000 0.0000 0.5000
In1 0.0000 0.0000 0.0000
In2 0.0000 0.0000 0.2402
```

Main lines, sorted by position (2θ from 5° to 70°):
(hkl)  two_theta  I/Imax
1 0 7  29.1  8
0 1 8  31.7  91
1 1 0  32.2  100
1 1 9  43.8  4
2 0 8  45.8  33
2 1 7  55.5  3
1 0 16  56.1  11
1 2 8  57.1  34
3 0 0  57.4  19
1 1 15  59.9  8
0 2 16  66.2  7
2 2 0  67.4  12

---

For Sm4Dy6Mg, a crystal structure in Alexandria, relaxed with PBE gives the calculated X-ray diffraction stick pattern in this record (Cu Kα (weighted mean of Kα1 and Kα2)).
Peak positions follow from Bragg's law for the DFT cell and can differ from measured ones.

```
data_Sm4Dy6Mg
_space_group_name_H-M_alt 'I -4 2 m'
_space_group_IT_number 121
_space_group_name_Hall 'I -4 2'
_cell_length_a 6.5121
_cell_length_b 6.5121
_cell_length_c 17.1639
_cell_angle_alpha 90.00
_cell_angle_beta 90.00
_cell_angle_gamma 90.00
loop_
_atom_site_label
_atom_site_fract_x
_atom_site_fract_y
_atom_site_fract_z
Sm1 0.1841 0.1841 0.1737
Dy1 0.0000 0.5000 0.0000
Dy2 0.1739 0.1739 0.3705
Mg1 0.0000 0.0000 0.0000
```

Main lines, sorted by position (2θ from 5° to 70°):
(hkl)  two_theta  I/Imax
1 1 2  21.9  34
1 1 4  28.4  50
2 0 2  29.4  59
2 1 1  31.1  100
0 0 6  31.3  27
2 0 4  34.6  66
1 1 6  37.0  28
2 1 5  40.6  51
3 1 0  44.0  26
1 1 10  57.3  20
4 1 1  58.7  26
4 1 5  65.0  20